Simulated PXRD pattern of Cu5Ru for Cu Kα X-rays, from the GGA-PBE geometry in Alexandria.
Intensities are scaled so that the largest is 100.

Structure:
```
Cu5Ru
1.0
4.699 0.000 0.000
-2.350 4.070 0.000
0.000 0.000 4.110
Cu Ru
5 1
direct
0.000 0.500 0.000
0.333 0.667 0.500
0.500 0.000 0.000
0.500 0.500 0.000
0.667 0.333 0.500
0.000 0.000 0.500
```

Peak list (10 most intense, 2θ = 10–90°, in order of rising 2θ)
Position (°2θ), I_rel
30.92, 31
38.31, 24
44.07, 36
44.41, 100
44.52, 30
50.01, 21
64.44, 19
73.51, 20
81.29, 15
82.02, 15

***

Simulated PXRD pattern of CuRu2 for Cu Kα X-rays, from the GGA-PBE geometry in Alexandria.
Intensities are scaled so that the largest is 100.

Structure:
```
CuRu2
1.0
1.872 -5.771 0.000
1.872 5.771 0.000
0.000 0.000 3.722
Cu Ru
2 4
direct
0.081 0.919 0.750
0.919 0.081 0.250
0.246 0.754 0.250
0.414 0.586 0.750
0.586 0.414 0.250
0.754 0.246 0.750
```

Peak list (10 most intense, 2θ = 10–90°, in order of rising 2θ)
Position (°2θ), I_rel
41.48, 100
47.25, 17
48.62, 16
48.94, 15
70.13, 10
70.39, 10
71.47, 9
83.87, 12
85.92, 11
86.40, 11

***

Simulated PXRD pattern of Cu4Ru5 for Cu Kα X-rays, from the GGA-PBE geometry in Alexandria.
Intensities are scaled so that the largest is 100.

Structure:
```
Cu4Ru5
1.0
-3.978 3.978 1.884
3.978 -3.978 1.884
3.978 3.978 -1.884
Cu Ru
4 5
direct
0.000 0.337 0.337
0.000 0.663 0.663
0.337 0.000 0.337
0.663 0.000 0.663
0.000 0.000 0.000
0.336 0.336 0.671
0.336 0.664 0.000
0.664 0.336 0.000
0.664 0.664 0.329
```

Peak list (10 most intense, 2θ = 10–90°, in order of rising 2θ)
Position (°2θ), I_rel
15.75, 5
26.17, 1
34.68, 2
41.65, 100
48.32, 16
48.55, 32
70.92, 19
71.10, 10
85.58, 12
85.93, 23

***

Simulated PXRD pattern of Cu2Ru for Cu Kα X-rays, from the GGA-PBE geometry in Alexandria.
Intensities are scaled so that the largest is 100.

Structure:
```
Cu2Ru
1.0
2.624 0.000 0.000
-1.312 2.272 0.000
0.000 0.000 6.462
Cu Ru
2 1
direct
0.333 0.667 0.340
0.667 0.333 0.660
0.000 0.000 0.000
```

Peak list (10 most intense, 2θ = 10–90°, in order of rising 2θ)
Position (°2θ), I_rel
13.70, 9
27.61, 3
41.94, 33
42.16, 100
49.01, 62
71.68, 19
71.98, 18
86.67, 11
86.96, 22
87.10, 11